Diffraction record for AlZn3I. The powder XRD pattern is computed, not measured: it uses the GGA-PBE geometry in Alexandria and Cu Kα.

Atomic structure:
Cell: 5.0527 5.0527 5.0527 Å, 90.00 90.00 90.00°
Space group Pm-3m (No. 221)
Unique sites:
Al: 0.0000 0.0000 0.0000 x1
Zn: 0.0000 0.0000 0.5000 x3
I: 0.5000 0.5000 0.5000 x1

The 10 most intense peaks (10° ≤ 2θ ≤ 90°), by angle:
two_theta  I_rel
24.92  17.3
30.65  100.0
35.53  69.3
43.89  7.3
51.13  47.6
60.80  40.1
63.81  15.8
75.22  7.2
83.37  15.9
86.05  20.4



Diffraction record for La2PmDyBi5. The powder XRD pattern is computed, not measured: it uses the GGA-PBE geometry in Alexandria and Cu Kα.

Atomic structure:
Cell: 5.4485 5.4485 12.0798 Å, 90.00 90.00 90.00°
Space group P4/mmm (No. 123)
Unique sites:
La: 0.0000 0.0000 0.2219 x2
Pm: 0.5000 0.5000 0.5000 x1
Dy: 0.5000 0.5000 0.0000 x1
Bi: 0.0000 0.0000 0.5000 x1
Bi: 0.0000 0.5000 0.0000 x2
Bi: 0.5000 0.5000 0.2511 x2

The 10 most intense peaks (10° ≤ 2θ ≤ 90°), by angle:
two_theta  I_rel
23.09  58.1
24.25  51.5
27.48  55.4
29.58  60.4
32.16  44.2
32.88  100.0
37.85  27.4
44.81  79.3
47.18  37.1
56.68  40.0



Diffraction record for RbSN. The powder XRD pattern is computed, not measured: it uses the GGA-PBE geometry in Alexandria and Cu Kα.

Atomic structure:
Cell: 19.4133 4.5312 4.7718 Å, 90.00 99.41 90.00°
Space group C2/m (No. 12)
Unique sites:
Rb: 0.1601 0.0000 0.4392 x4
S: 0.2285 0.5000 0.9864 x4
N: 0.0264 0.5000 0.4639 x4

The 10 most intense peaks (10° ≤ 2θ ≤ 90°), by angle:
two_theta  I_rel
18.85  44.0
24.08  100.0
28.25  36.7
28.69  36.0
29.28  92.2
31.18  47.3
32.18  71.3
38.43  27.9
39.79  34.2
47.18  31.5